Simulated powder diffractogram of Na2B3C for Cu Ka, from the GGA-PBE geometry in Alexandria.

Top 10 peaks for 2θ = 15–90°, by angle:
35.0°, I 10
35.7°, I 18
41.0°, I 25
41.1°, I 25
41.7°, I 100
42.2°, I 37
63.3°, I 18
64.7°, I 8
78.9°, I 8
79.5°, I 11

Structure:
```
Na2B3C
1.0
8.9342 -1.4412 0.0000
8.9342 1.4412 0.0000
-5.3028 0.0000 12.2920
Na B C
10 15 5
Cartesian
0.0000 0.0000 0.0000
15.2237 0.0000 6.1103
1.4232 0.0000 4.8868
-1.1658 0.0000 11.0320
2.8720 0.0000 9.8140
5.5902 0.0000 3.6615
9.6504 0.0000 2.4484
7.0130 0.0000 8.5645
11.1095 0.0000 7.3312
13.7833 0.0000 1.2164
-3.7181 0.0000 10.0657
-0.1300 0.0000 7.0608
2.5420 0.0000 1.0443
3.0388 0.0000 2.7066
3.9874 0.0000 5.8972
1.3861 0.0000 12.2347
4.4541 0.0000 7.4813
8.0987 0.0000 4.6830
5.4490 0.0000 10.8340
11.2400 0.0000 0.2246
9.5041 0.0000 9.4482
12.6294 0.0000 4.9109
10.0309 0.0000 11.2365
16.3202 0.0000 2.3064
13.6670 0.0000 8.4415
-1.0704 0.0000 3.8935
0.3410 0.0000 8.6697
7.1448 0.0000 1.5108
8.5754 0.0000 6.2770
12.1889 0.0000 3.4329
```